This entry pairs a crystal structure of Ca3PdAu3 with its calculated X-ray diffraction stick pattern. Radiation: λ = 1.5418 Å (Cu Kα). Structure: DFT lattice parameters and positions (GGA-PBE).

The 10 most intense peaks (10 to 80 degrees two-theta), by angle:
| 2θ (°) | I_rel | index |
| --- | --- | --- |
| 16.29 | 30 | 2 0 -1 |
| 22.95 | 100 | 1 1 0 |
| 23.38 | 26 | 2 0 2 |
| 25.13 | 46 | 2 0 -4 |
| 30.72 | 30 | 1 1 3 |
| 31.53 | 66 | 1 1 -4 |
| 36.87 | 35 | 3 1 -4 |
| 38.12 | 89 | 3 1 2 |
| 38.86 | 30 | 4 0 -5 |
| 43.38 | 39 | 0 2 0 |

Atomic structure:
abc: 10.9084 4.1723 15.5272
angles: 90.00 106.42 90.00
Space group C2/m (No. 12)
One atom of each set of equivalent atoms:
Ca (0.0275, 0.0000, 0.3889) (multiplicity 4)
Ca (0.1078, 0.0000, 0.9229) (multiplicity 4)
Ca (0.2382, 0.0000, 0.2375) (multiplicity 4)
Pd (0.2213, 0.5000, 0.3732) (multiplicity 4)
Au (0.0115, 0.5000, 0.2267) (multiplicity 4)
Au (0.1145, 0.5000, 0.0765) (multiplicity 4)
Au (0.1348, 0.5000, 0.5387) (multiplicity 4)

***

This entry pairs a crystal structure of Ca2Zn9Ga3 with its calculated X-ray diffraction stick pattern. Radiation: λ = 1.5418 Å (Cu Kα). Structure: DFT lattice parameters and positions (GGA-PBE).

The 10 most intense peaks (10 to 80 degrees two-theta), by angle:
| 2θ (°) | I_rel | index |
| --- | --- | --- |
| 16.15 | 27 | 1 1 1 |
| 36.98 | 39 | 0 2 3 |
| 37.09 | 100 | 3 1 3 |
| 39.70 | 78 | 3 3 0 |
| 40.01 | 55 | 6 0 0 |
| 40.28 | 30 | 5 1 2 |
| 44.44 | 40 | 3 3 2 |
| 44.73 | 18 | 6 0 2 |
| 45.47 | 42 | 0 2 4 |
| 70.41 | 16 | 6 4 3 |

Atomic structure:
abc: 13.5186 7.8850 9.2630
angles: 90.00 90.00 90.00
Space group Cmcm (No. 63)
One atom of each set of equivalent atoms:
Ca (0.1614, 0.1619, 0.2500) (multiplicity 8)
Zn (0.0000, 0.1464, 0.7500) (multiplicity 4)
Zn (0.0000, 0.3394, 0.0570) (multiplicity 8)
Zn (0.0950, 0.4478, 0.7500) (multiplicity 8)
Zn (0.1599, 0.1820, 0.5922) (multiplicity 16)
Ga (0.0000, 0.0000, 0.0000) (multiplicity 4)
Ga (0.1861, 0.5000, 0.0000) (multiplicity 8)

***

This entry pairs a crystal structure of Sc2ZnF2 with its calculated X-ray diffraction stick pattern. Radiation: λ = 1.5418 Å (Cu Kα). Structure: DFT lattice parameters and positions (GGA-PBE).

The 10 most intense peaks (10 to 80 degrees two-theta), by angle:
| 2θ (°) | I_rel | index |
| --- | --- | --- |
| 33.60 | 100 | 1 0 3 |
| 37.23 | 25 | 1 1 0 |
| 39.89 | 27 | 1 1 2 |
| 44.20 | 24 | 1 0 5 |
| 53.66 | 21 | 2 0 0 |
| 57.62 | 26 | 0 0 8 |
| 64.82 | 26 | 2 1 3 |
| 70.60 | 9 | 1 1 8 |
| 71.96 | 12 | 2 1 5 |
| 79.34 | 6 | 2 2 0 |

Atomic structure:
abc: 3.4159 3.4159 12.8064
angles: 90.00 90.00 90.00
Space group I4/mmm (No. 139)
One atom of each set of equivalent atoms:
Sc (0.0000, 0.0000, 0.1370) (multiplicity 4)
Zn (0.0000, 0.0000, 0.5000) (multiplicity 2)
F (0.0000, 0.5000, 0.2500) (multiplicity 4)

***

This entry pairs a crystal structure of HoNiHg2 with its calculated X-ray diffraction stick pattern. Radiation: λ = 1.5418 Å (Cu Kα). Structure: DFT lattice parameters and positions (GGA-PBE).

The 10 most intense peaks (10 to 80 degrees two-theta), by angle:
| 2θ (°) | I_rel | index |
| --- | --- | --- |
| 32.68 | 100 | 1 1 2 |
| 35.28 | 45 | 1 3 0 |
| 36.96 | 42 | 1 3 1 |
| 37.13 | 50 | 0 2 3 |
| 40.94 | 27 | 1 1 3 |
| 41.65 | 27 | 1 3 2 |
| 42.10 | 22 | 0 4 2 |
| 46.32 | 29 | 2 0 0 |
| 60.80 | 24 | 2 2 3 |
| 61.84 | 20 | 1 5 3 |

Atomic structure:
abc: 3.9200 10.0329 8.2950
angles: 90.00 90.00 90.00
Space group Cmcm (No. 63)
One atom of each set of equivalent atoms:
Ho (0.0000, 0.0675, 0.2500) (multiplicity 4)
Ni (0.0000, 0.2309, 0.7500) (multiplicity 4)
Hg (0.0000, 0.3592, 0.0508) (multiplicity 8)

***

This entry pairs a crystal structure of HfAl6Ga2 with its calculated X-ray diffraction stick pattern. Radiation: λ = 1.5418 Å (Cu Kα). Structure: DFT lattice parameters and positions (GGA-PBE).

The 10 most intense peaks (10 to 80 degrees two-theta), by angle:
| 2θ (°) | I_rel | index |
| --- | --- | --- |
| 10.87 | 86 | 0 0 1 |
| 18.58 | 60 | 2 0 -1 |
| 23.84 | 27 | 2 0 -2 |
| 28.56 | 47 | 1 1 1 |
| 31.20 | 30 | 1 1 -2 |
| 37.16 | 100 | 3 1 0 |
| 39.11 | 85 | 1 1 -3 |
| 42.02 | 32 | 4 0 -3 |
| 43.80 | 40 | 2 0 3 |
| 47.08 | 26 | 0 2 0 |

Atomic structure:
abc: 9.8617 3.8603 8.6178
angles: 90.00 109.19 90.00
Space group C2/m (No. 12)
One atom of each set of equivalent atoms:
Hf (0.0000, 0.0000, 0.0000) (multiplicity 2)
Al (0.0174, 0.0000, 0.6696) (multiplicity 4)
Al (0.1623, 0.5000, 0.5566) (multiplicity 4)
Al (0.1789, 0.5000, 0.8905) (multiplicity 4)
Ga (0.1567, 0.5000, 0.2388) (multiplicity 4)

***

This entry pairs a crystal structure of Rb4GeCl6 with its calculated X-ray diffraction stick pattern. Radiation: λ = 1.5418 Å (Cu Kα). Structure: DFT lattice parameters and positions (GGA-PBE).

The 10 most intense peaks (10 to 80 degrees two-theta), by angle:
| 2θ (°) | I_rel | index |
| --- | --- | --- |
| 12.51 | 29 | 2 0 0 |
| 20.17 | 28 | 0 2 1 |
| 21.82 | 59 | 3 1 -2 |
| 22.49 | 31 | 2 2 0 |
| 25.18 | 64 | 4 0 0 |
| 27.82 | 35 | 1 1 3 |
| 29.94 | 32 | 3 1 2 |
| 31.17 | 27 | 0 0 4 |
| 31.72 | 100 | 1 3 -2 |
| 33.39 | 43 | 5 1 -3 |

Atomic structure:
abc: 15.1168 9.5322 12.2699
angles: 90.00 110.59 90.00
Space group Cc (No. 9)
One atom of each set of equivalent atoms:
Rb (0.0000, 0.0120, 0.0000) (multiplicity 4)
Rb (0.0145, 0.4567, 0.2492) (multiplicity 4)
Rb (0.2092, 0.1540, 0.7896) (multiplicity 4)
Rb (0.2764, 0.3612, 0.1558) (multiplicity 4)
Ge (0.2494, 0.2448, 0.4769) (multiplicity 4)
Cl (0.1113, 0.3094, 0.5238) (multiplicity 4)
Cl (0.1335, 0.1746, 0.2420) (multiplicity 4)
Cl (0.2581, 0.0091, 0.0504) (multiplicity 4)
Cl (0.2592, 0.4773, 0.8959) (multiplicity 4)
Cl (0.3637, 0.3123, 0.6744) (multiplicity 4)
Cl (0.4951, 0.2836, 0.2880) (multiplicity 4)